Sr6MgW4O18: theoretical powder X-ray diffraction pattern (Cu Kα), based on a PBE+U-relaxed structure.

Structure:
```
data_Sr6MgW4O18
_chemical_formula_sum 'Sr6 Mg1 W4 O18'
_cell_length_a 6.925
_cell_length_b 7.864
_cell_length_c 8.835
_cell_angle_alpha 74.09
_cell_angle_beta 83.02
_cell_angle_gamma 83.23
_space_group_name_H-M_alt 'P 1'
_space_group_IT_number 1
_space_group_name_Hall 'P 1'
loop_
_atom_site_label
_atom_site_type_symbol
_atom_site_fract_x
_atom_site_fract_y
_atom_site_fract_z
Sr1 Sr 0.099 0.243 0.010
Sr2 Sr 0.240 0.181 0.489
Sr3 Sr 0.383 0.744 0.243
Sr4 Sr 0.617 0.256 0.757
Sr5 Sr 0.760 0.819 0.511
Sr6 Sr 0.901 0.757 0.990
Mg1 Mg 0.500 0.500 0.000
W1 W 0.180 0.611 0.676
W2 W 0.359 0.846 0.825
W3 W 0.641 0.154 0.175
W4 W 0.820 0.389 0.324
O1 O 0.081 0.402 0.244
O2 O 0.132 0.887 0.687
O3 O 0.136 0.690 0.466
O4 O 0.208 0.928 0.992
O5 O 0.231 0.602 0.915
O6 O 0.254 0.368 0.699
O7 O 0.446 0.260 0.017
O8 O 0.460 0.667 0.669
O9 O 0.482 0.989 0.319
O10 O 0.518 0.011 0.681
O11 O 0.540 0.333 0.331
O12 O 0.554 0.740 0.983
O13 O 0.746 0.632 0.301
O14 O 0.769 0.398 0.085
O15 O 0.792 0.072 0.008
O16 O 0.864 0.310 0.534
O17 O 0.868 0.113 0.313
O18 O 0.919 0.598 0.756
```

Principal peaks in the range 2θ from 10° to 90°, sorted by position:
d/Å	2theta	Rel. int.	(hkl)
5.583	15.87	55	1 0 1
5.094	17.41	100	1 0 -1
5.008	17.71	78	0 1 -1
4.857	18.27	93	1 -1 0
3.765	23.63	51	0 2 0
3.554	25.05	72	1 2 1
3.367	26.47	52	-1 1 2
3.276	27.22	55	0 2 2
3.038	29.40	80	1 -1 2
2.956	30.23	69	1 1 -2
2.863	31.24	50	-2 1 1
2.428	37.02	46	1 3 0